CaLa4Pt4: theoretical powder X-ray diffraction pattern (CuKα), based on a PBE-relaxed structure.
Peak positions follow from Bragg's law for the DFT cell and can differ from measured ones.

Most intense lines, 5° ≤ 2θ ≤ 70°, most intense first:
| 2θ/deg | intensity | index |
| --- | --- | --- |
| 29.73 | 100 | 3 1 0 |
| 42.83 | 74 | 3 1 2 |
| 30.12 | 48 | 0 0 2 |
| 53.01 | 40 | 2 4 2 |
| 42.55 | 38 | 2 4 0 |
| 13.18 | 33 | 1 1 0 |
| 18.68 | 14 | 2 0 0 |
| 61.75 | 13 | 6 2 0 |
| 33.00 | 8 | 1 1 2 |
| 62.61 | 6 | 0 0 4 |

Crystal structure
Cell: 9.5014 9.5014 5.9347 Å, 90.00 90.00 90.00°
Space group I4/m (No. 87)
Asymmetric unit:
Ca: 0.0000 0.0000 0.0000 [2 per cell]
La: 0.1035 0.6874 0.5000 [8 per cell]
Pt: 0.1037 0.7025 0.0000 [8 per cell]

---

CaLa2Pt: theoretical powder X-ray diffraction pattern (CuKα), based on a PBE-relaxed structure.
Peak positions follow from Bragg's law for the DFT cell and can differ from measured ones.

Most intense lines, 5° ≤ 2θ ≤ 70°, most intense first:
| 2θ/deg | intensity | index |
| --- | --- | --- |
| 30.89 | 100 | 1 1 1 |
| 11.23 | 86 | 0 0 2 |
| 42.00 | 43 | 1 1 5 |
| 34.92 | 39 | 0 1 5 |
| 22.59 | 31 | 0 0 4 |
| 34.15 | 25 | 0 0 6 |
| 32.18 | 22 | 1 0 4 |
| 40.58 | 19 | 0 2 0 |
| 51.09 | 19 | 1 1 7 |
| 20.76 | 18 | 0 1 1 |

Crystal structure
Cell: 3.9303 4.4458 15.7537 Å, 90.00 90.00 90.00°
Space group Amm2 (No. 38)
Asymmetric unit:
Ca: 0.0000 0.0000 0.0000 [2 per cell]
La: 0.0000 0.0000 0.6834 [2 per cell]
La: 0.5000 0.0000 0.3431 [2 per cell]
Pt: 0.5000 0.0000 0.1559 [2 per cell]

---

CaLa2PtRh: theoretical powder X-ray diffraction pattern (CuKα), based on a PBE-relaxed structure.
Peak positions follow from Bragg's law for the DFT cell and can differ from measured ones.

Most intense lines, 5° ≤ 2θ ≤ 70°, most intense first:
| 2θ/deg | intensity | index |
| --- | --- | --- |
| 15.07 | 100 | 0 0 1 |
| 32.97 | 72 | 2 0 0 |
| 22.28 | 48 | 1 0 1 |
| 36.43 | 46 | 2 0 1 |
| 34.69 | 38 | 1 0 2 |
| 27.73 | 37 | 1 1 1 |
| 48.61 | 29 | 2 1 2 |
| 38.56 | 29 | 1 1 2 |
| 47.31 | 26 | 2 2 0 |
| 40.15 | 21 | 2 1 1 |

Crystal structure
Cell: 5.4340 5.4340 5.8801 Å, 90.00 90.00 90.00°
Space group P4mm (No. 99)
Asymmetric unit:
Ca: 0.0000 0.0000 0.0000 [1 per cell]
La: 0.0000 0.5000 0.4610 [2 per cell]
Pt: 0.5000 0.5000 0.2346 [1 per cell]
Rh: 0.0000 0.0000 0.5138 [1 per cell]